(1)
Simulated powder XRD pattern
Compound: Ba3CN3
Radiation: copper Kα
Structure: a GGA-PBE-relaxed structure
Neutral-atom scattering factors, no anomalous dispersion.

Most intense lines, 10 to 80 degrees two-theta, in order of falling intensity:
d/Å	2θ/deg	Rel. int.
3.273	27.25	100
2.563	35.00	29
4.440	20.00	29
2.018	44.92	23
1.760	51.95	18
2.907	30.76	18

Structure:
```
Ba3CN3
1.0
8.8800 0.0000 0.0000
-4.4400 7.6903 0.0000
0.0000 0.0000 4.8429
Ba C N
6 2 6
Direct
0.0426 0.3603 0.2500
0.3177 0.9574 0.2500
0.3603 0.3177 0.7500
0.6397 0.6823 0.2500
0.6823 0.0426 0.7500
0.9574 0.6397 0.7500
0.3333 0.6667 0.7500
0.6667 0.3333 0.2500
0.1807 0.5042 0.7500
0.3235 0.8193 0.7500
0.4958 0.6765 0.7500
0.5042 0.3235 0.2500
0.6765 0.1807 0.2500
0.8193 0.4958 0.2500
```

(2)
Simulated powder XRD pattern
Compound: Ba4CN4
Radiation: copper Kα
Structure: a GGA-PBE-relaxed structure
Neutral-atom scattering factors, no anomalous dispersion.

Most intense lines, 10 to 80 degrees two-theta, in order of falling intensity:
d/Å	2θ/deg	Rel. int.
3.162	28.23	100
3.475	25.63	44
2.588	34.66	35
3.227	27.65	31
2.920	30.62	28
1.956	46.43	26

Structure:
```
Ba4CN4
1.0
13.1904 0.0000 0.0000
0.0000 4.0599 0.0000
0.0000 0.0000 15.6233
Ba C N
16 4 16
Direct
0.0853 0.2500 0.1802
0.0989 0.7500 0.4041
0.1402 0.7500 0.9521
0.1767 0.2500 0.7457
0.3233 0.7500 0.2457
0.3598 0.2500 0.4521
0.4011 0.2500 0.9041
0.4147 0.7500 0.6802
0.5853 0.2500 0.3198
0.5989 0.7500 0.0959
0.6402 0.7500 0.5479
0.6767 0.2500 0.7543
0.8233 0.7500 0.2543
0.8598 0.2500 0.0479
0.9011 0.2500 0.5959
0.9147 0.7500 0.8198
0.1582 0.7500 0.5882
0.3418 0.2500 0.0882
0.6582 0.7500 0.9118
0.8418 0.2500 0.4118
0.0381 0.2500 0.8593
0.0693 0.7500 0.6149
0.2063 0.2500 0.3299
0.2462 0.7500 0.5592
0.2538 0.2500 0.0592
0.2937 0.7500 0.8299
0.4307 0.2500 0.1149
0.4619 0.7500 0.3593
0.5381 0.2500 0.6407
0.5693 0.7500 0.8851
0.7063 0.2500 0.1701
0.7462 0.7500 0.9408
0.7538 0.2500 0.4408
0.7937 0.7500 0.6701
0.9307 0.2500 0.3851
0.9619 0.7500 0.1407
```

(3)
Simulated powder XRD pattern
Compound: BaC4N6
Radiation: copper Kα
Structure: a GGA-PBE-relaxed structure
Neutral-atom scattering factors, no anomalous dispersion.

Most intense lines, 10 to 80 degrees two-theta, in order of falling intensity:
d/Å	2θ/deg	Rel. int.
3.935	22.59	100
5.453	16.26	80
8.047	11.00	56
2.838	31.53	39
3.809	23.35	39
3.236	27.57	37

Structure:
```
BaC4N6
1.0
16.0938 0.0000 0.0000
0.0000 4.3308 0.0000
0.0000 0.0000 11.5907
Ba C N
4 16 24
Direct
0.2141 0.2500 0.1312
0.2859 0.7500 0.6312
0.7141 0.2500 0.3688
0.7859 0.7500 0.8688
0.0442 0.2500 0.8687
0.0622 0.7500 0.7494
0.0650 0.2500 0.3740
0.1784 0.2500 0.8382
0.3216 0.7500 0.3382
0.4350 0.7500 0.8740
0.4378 0.2500 0.2494
0.4558 0.7500 0.3687
0.5442 0.2500 0.6313
0.5622 0.7500 0.7506
0.5650 0.2500 0.1260
0.6784 0.2500 0.6618
0.8216 0.7500 0.1618
0.9350 0.7500 0.6260
0.9378 0.2500 0.2506
0.9558 0.7500 0.1313
0.0029 0.7500 0.6843
0.0305 0.7500 0.1113
0.1062 0.7500 0.1238
0.1220 0.2500 0.9167
0.1256 0.2500 0.4314
0.2332 0.2500 0.7685
0.2668 0.7500 0.2685
0.3744 0.7500 0.9314
0.3780 0.7500 0.4167
0.3938 0.2500 0.6238
0.4695 0.2500 0.6113
0.4971 0.2500 0.1843
0.5029 0.7500 0.8157
0.5305 0.7500 0.3887
0.6062 0.7500 0.3762
0.6220 0.2500 0.5833
0.6256 0.2500 0.0686
0.7332 0.2500 0.7315
0.7668 0.7500 0.2315
0.8744 0.7500 0.5686
0.8780 0.7500 0.0833
0.8938 0.2500 0.8762
0.9695 0.2500 0.8887
0.9971 0.2500 0.3157
```

(4)
Simulated powder XRD pattern
Compound: BaC7N10
Radiation: copper Kα
Structure: a GGA-PBE-relaxed structure
Neutral-atom scattering factors, no anomalous dispersion.

Most intense lines, 10 to 80 degrees two-theta, in order of falling intensity:
d/Å	2θ/deg	Rel. int.
2.532	35.46	100
2.697	33.21	87
2.623	34.18	74
2.403	37.43	60
4.647	19.10	60
5.668	15.63	57

Structure:
```
BaC7N10
1.0
5.9162 0.0000 0.0000
0.0000 5.7313 0.0000
-2.3742 0.0000 7.9391
Ba C N
2 14 20
Direct
0.0000 0.1237 0.0000
0.0000 0.8763 0.5000
0.1570 0.3860 0.4006
0.1570 0.6140 0.9006
0.3405 0.3773 0.7140
0.3405 0.6227 0.2140
0.4053 0.0310 0.3482
0.4053 0.9690 0.8482
0.5260 0.3795 0.0143
0.5260 0.6205 0.5143
0.5806 0.0260 0.6554
0.5806 0.9740 0.1554
0.7061 0.3664 0.3162
0.7061 0.6336 0.8162
0.8804 0.3674 0.6401
0.8804 0.6326 0.1401
0.1233 0.4123 0.7655
0.1233 0.5877 0.2655
0.2089 0.1719 0.3412
0.2089 0.8281 0.8412
0.3287 0.4943 0.5530
0.3287 0.5057 0.0530
0.3657 0.1269 0.6973
0.3657 0.8731 0.1973
0.4908 0.1158 0.0027
0.4908 0.8842 0.5027
0.5403 0.4612 0.8505
0.5403 0.5388 0.3505
0.6137 0.1291 0.3024
0.6137 0.8709 0.8024
0.7436 0.4156 0.1501
0.7436 0.5844 0.6501
0.7854 0.1597 0.6645
0.7854 0.8403 0.1645
0.9262 0.3946 0.4491
0.9262 0.6054 0.9491
```

(5)
Simulated powder XRD pattern
Compound: BaC2N6O4
Radiation: copper Kα
Structure: a GGA-PBE-relaxed structure
Neutral-atom scattering factors, no anomalous dispersion.

Most intense lines, 10 to 80 degrees two-theta, in order of falling intensity:
d/Å	2θ/deg	Rel. int.
6.389	13.86	100
3.194	27.93	42
6.838	12.95	39
3.169	28.16	34
4.132	21.51	28
3.618	24.61	28

Structure:
```
BaC2N6O4
1.0
6.9211 -3.6128 0.0000
6.9211 3.6128 0.0000
-0.7219 0.0000 4.6130
Ba C N O
1 2 6 4
Direct
0.0000 0.0000 0.0000
0.0718 0.6369 0.5542
0.3631 0.9282 0.4458
0.0195 0.4495 0.3994
0.5505 0.9805 0.6006
0.5550 0.0465 0.8380
0.6041 0.3652 0.3820
0.6348 0.3959 0.6180
0.9535 0.4450 0.1620
0.1754 0.5845 0.7884
0.1996 0.0219 0.5754
0.4155 0.8246 0.2116
0.9781 0.8004 0.4246
```

(6)
Simulated powder XRD pattern
Compound: BaC2N2O2
Radiation: copper Kα
Structure: a GGA-PBE-relaxed structure
Neutral-atom scattering factors, no anomalous dispersion.

Most intense lines, 10 to 80 degrees two-theta, in order of falling intensity:
d/Å	2θ/deg	Rel. int.
3.406	26.16	100
3.591	24.79	73
2.469	36.39	57
5.949	14.89	39
2.036	44.50	34
3.938	22.58	22

Structure:
```
BaC2N2O2
1.0
3.5913 2.0734 13.5677
-3.5913 2.0734 13.5677
0.0000 -4.1469 13.5677
Ba C N O
6 12 12 12
Direct
0.1488 0.1488 0.1488
0.2500 0.2500 0.2500
0.3512 0.3512 0.3512
0.6488 0.6488 0.6488
0.7500 0.7500 0.7500
0.8512 0.8512 0.8512
0.0033 0.2391 0.8740
0.1260 0.9967 0.7609
0.2391 0.8740 0.0033
0.2609 0.4967 0.6260
0.3740 0.7391 0.5033
0.4967 0.6260 0.2609
0.5033 0.3740 0.7391
0.6260 0.2609 0.4967
0.7391 0.5033 0.3740
0.7609 0.1260 0.9967
0.8740 0.0033 0.2391
0.9967 0.7609 0.1260
0.0760 0.8306 0.2118
0.1694 0.7882 0.9240
0.2118 0.0760 0.8306
0.2882 0.6694 0.4240
0.3306 0.5760 0.7118
0.4240 0.2882 0.6694
0.5760 0.7118 0.3306
0.6694 0.4240 0.2882
0.7118 0.3306 0.5760
0.7882 0.9240 0.1694
0.8306 0.2118 0.0760
0.9240 0.1694 0.7882
0.0300 0.5678 0.2921
0.0678 0.5300 0.7921
0.2079 0.9322 0.4700
0.2921 0.0300 0.5678
0.4322 0.7079 0.9700
0.4700 0.2079 0.9322
0.5300 0.7921 0.0678
0.5678 0.2921 0.0300
0.7079 0.9700 0.4322
0.7921 0.0678 0.5300
0.9322 0.4700 0.2079
0.9700 0.4322 0.7079
```

(7)
Simulated powder XRD pattern
Compound: BaC2S2N2O2
Radiation: copper Kα
Structure: a GGA-PBE-relaxed structure
Neutral-atom scattering factors, no anomalous dispersion.

Most intense lines, 10 to 80 degrees two-theta, in order of falling intensity:
d/Å	2θ/deg	Rel. int.
4.079	21.79	100
6.144	14.42	86
2.542	35.31	82
3.649	24.40	81
4.176	21.27	79
2.749	32.57	69

Structure:
```
BaC2S2N2O2
1.0
6.7104 -2.3231 0.0000
6.7104 2.3231 0.0000
-1.3702 0.0000 12.1543
Ba C S N O
2 4 4 4 4
Direct
0.1250 0.1250 0.2637
0.8750 0.8750 0.7363
0.3443 0.3443 0.4972
0.4377 0.4377 0.1299
0.5623 0.5623 0.8701
0.6557 0.6557 0.5028
0.3246 0.3246 0.0688
0.3565 0.3565 0.3669
0.6435 0.6435 0.6331
0.6754 0.6754 0.9312
0.3401 0.3401 0.5941
0.4778 0.4778 0.8267
0.5222 0.5222 0.1733
0.6599 0.6599 0.4059
0.0049 0.0049 0.5515
0.0447 0.0447 0.0214
0.9553 0.9553 0.9786
0.9951 0.9951 0.4485
```